Structure and calculated PXRD pattern of CdSn2Pd5 (DFT lattice parameters and positions (PBE); Cu Kα (weighted mean of Kα1 and Kα2)).

a = 8.9566 Å, b = 8.9566 Å, c = 11.5561 Å
α = 90.00°, β = 90.00°, γ = 160.77°
Positions (direct):
Cd 0.1373 0.8627 0.7500
Cd 0.8627 0.1373 0.2500
Sn 0.1259 0.8741 0.0130
Sn 0.1259 0.8741 0.4870
Sn 0.8741 0.1259 0.5130
Sn 0.8741 0.1259 0.9870
Pd 0.0054 0.9946 0.6282
Pd 0.0054 0.9946 0.8718
Pd 0.1323 0.8677 0.2500
Pd 0.2619 0.7381 0.6119
Pd 0.2619 0.7381 0.8881
Pd 0.7381 0.2619 0.1119
Pd 0.7381 0.2619 0.3881
Pd 0.8677 0.1323 0.7500
Pd 0.9946 0.0054 0.1282
Pd 0.9946 0.0054 0.3718

Most intense lines, 2θ = 15–90°, low angle first:
Position (°2θ)	I_rel
30.3	65
37.2	100
40.9	36
46.2	9
46.3	54
47.1	35
51.0	17
62.0	12
72.0	10
74.7	45
77.0	11
83.6	11



Structure and calculated PXRD pattern of Cd2SnPd2 (DFT lattice parameters and positions (PBE); Cu Kα (weighted mean of Kα1 and Kα2)).

a = 4.5359 Å, b = 4.5359 Å, c = 5.7142 Å
α = 90.00°, β = 90.00°, γ = 120.00°
Positions (direct):
Cd 0.3333 0.6667 0.3721
Cd 0.6667 0.3333 0.6279
Sn 0.0000 0.0000 0.0000
Pd 0.3333 0.6667 0.8653
Pd 0.6667 0.3333 0.1347

Most intense lines, 2θ = 15–90°, low angle first:
Position (°2θ)	I_rel
15.5	11
22.6	13
27.6	25
39.0	100
39.7	91
56.9	32
70.1	13
71.6	32
72.1	15
79.3	7
83.7	8
85.7	10



Structure and calculated PXRD pattern of CdSn5Pd3 (DFT lattice parameters and positions (PBE); Cu Kα (weighted mean of Kα1 and Kα2)).

a = 7.3982 Å, b = 7.3982 Å, c = 10.1678 Å
α = 115.83°, β = 115.83°, γ = 76.73°
Positions (direct):
Cd 0.0777 0.0777 0.3006
Cd 0.9223 0.9223 0.6994
Sn 0.0422 0.5964 0.3920
Sn 0.2384 0.2384 0.0105
Sn 0.2884 0.7116 0.0000
Sn 0.4036 0.9578 0.6080
Sn 0.4317 0.4317 0.6391
Sn 0.5683 0.5683 0.3609
Sn 0.5964 0.0422 0.3920
Sn 0.7116 0.2884 0.0000
Sn 0.7616 0.7616 0.9895
Sn 0.9578 0.4036 0.6080
Pd 0.0000 0.0000 0.0000
Pd 0.0000 0.0000 0.5000
Pd 0.3191 0.3191 0.8113
Pd 0.3210 0.3210 0.3106
Pd 0.6790 0.6790 0.6894
Pd 0.6809 0.6809 0.1887

Most intense lines, 2θ = 15–90°, low angle first:
Position (°2θ)	I_rel
18.7	21
19.3	34
31.8	24
32.5	100
37.9	21
39.2	40
39.5	20
40.4	31
40.7	18
42.9	19
49.5	18
68.0	18



Structure and calculated PXRD pattern of Cd5SnPd6 (DFT lattice parameters and positions (PBE); Cu Kα (weighted mean of Kα1 and Kα2)).

a = 7.4608 Å, b = 7.4608 Å, c = 6.3548 Å
α = 90.00°, β = 90.00°, γ = 143.22°
Positions (direct):
Cd 0.0000 0.0000 0.0000
Cd 0.3271 0.6729 0.5000
Cd 0.3317 0.6683 0.0000
Cd 0.6683 0.3317 0.0000
Cd 0.6729 0.3271 0.5000
Sn 0.0000 0.0000 0.5000
Pd 0.1612 0.8388 0.2528
Pd 0.1612 0.8388 0.7472
Pd 0.5000 0.5000 0.2613
Pd 0.5000 0.5000 0.7387
Pd 0.8388 0.1612 0.2528
Pd 0.8388 0.1612 0.7472

Most intense lines, 2θ = 15–90°, low angle first:
Position (°2θ)	I_rel
38.1	27
38.2	27
39.2	100
55.1	18
58.1	8
69.6	17
69.7	17
71.6	16
81.6	3
81.8	3
84.2	10



Structure and calculated PXRD pattern of SrCdSn2Pd2 (DFT lattice parameters and positions (PBE); Cu Kα (weighted mean of Kα1 and Kα2)).

a = 5.0273 Å, b = 5.0273 Å, c = 6.1524 Å
α = 90.00°, β = 90.00°, γ = 90.00°
Positions (direct):
Sr 0.0000 0.0000 0.0000
Cd 0.0000 0.0000 0.5000
Sn 0.5000 0.5000 0.2506
Sn 0.5000 0.5000 0.7494
Pd 0.0000 0.5000 0.5000
Pd 0.5000 0.0000 0.5000

Most intense lines, 2θ = 15–90°, low angle first:
Position (°2θ)	I_rel
25.1	29
29.0	34
34.2	100
35.7	98
38.7	45
50.3	67
51.4	40
60.1	20
63.2	17
72.0	25
74.8	21
83.0	21



Structure and calculated PXRD pattern of Sr8CdPd2 (DFT lattice parameters and positions (PBE); Cu Kα (weighted mean of Kα1 and Kα2)).

a = 8.6959 Å, b = 8.6959 Å, c = 6.4316 Å
α = 97.80°, β = 97.80°, γ = 111.79°
Positions (direct):
Sr 0.0000 0.0000 0.0000
Sr 0.0462 0.3124 0.6184
Sr 0.1411 0.6198 0.2048
Sr 0.3124 0.0462 0.6184
Sr 0.4455 0.7136 0.7943
Sr 0.6198 0.1411 0.2048
Sr 0.7136 0.4455 0.7943
Sr 0.7550 0.7550 0.4039
Cd 0.3767 0.3767 0.1096
Pd 0.0664 0.6912 0.7019
Pd 0.6912 0.0664 0.7019

Most intense lines, 2θ = 15–90°, low angle first:
Position (°2θ)	I_rel
18.8	25
26.3	32
26.5	26
28.6	100
29.1	52
31.2	67
32.8	18
34.0	39
34.6	31
37.5	22
40.1	23
58.0	19



Structure and calculated PXRD pattern of Sr3Cd2Pd (DFT lattice parameters and positions (PBE); Cu Kα (weighted mean of Kα1 and Kα2)).

a = 13.2499 Å, b = 4.6324 Å, c = 13.2501 Å
α = 90.00°, β = 90.00°, γ = 90.00°
Positions (direct):
Sr 0.0487 0.2500 0.1278
Sr 0.1153 0.7500 0.5491
Sr 0.2292 0.2500 0.7925
Sr 0.2708 0.7500 0.2925
Sr 0.3847 0.2500 0.0491
Sr 0.4513 0.7500 0.6278
Sr 0.5487 0.2500 0.3722
Sr 0.6153 0.7500 0.9509
Sr 0.7292 0.2500 0.7075
Sr 0.7708 0.7500 0.2075
Sr 0.8847 0.2500 0.4509
Sr 0.9513 0.7500 0.8722
Cd 0.0133 0.7500 0.3102
Cd 0.1992 0.7500 0.9936
Cd 0.3008 0.2500 0.4936
Cd 0.4867 0.2500 0.8102
Cd 0.5133 0.7500 0.1898
Cd 0.6992 0.7500 0.5064
Cd 0.8008 0.2500 0.0064
Cd 0.9867 0.2500 0.6898
Pd 0.1222 0.2500 0.3718
Pd 0.3778 0.7500 0.8718
Pd 0.6222 0.2500 0.1282
Pd 0.8778 0.7500 0.6282

Most intense lines, 2θ = 15–90°, low angle first:
Position (°2θ)	I_rel
27.1	46
27.8	34
27.9	98
28.7	43
30.2	53
31.1	83
34.0	100
34.5	29
36.0	78
38.9	68
39.7	42
56.8	28



Structure and calculated PXRD pattern of SrCd2Pd5 (DFT lattice parameters and positions (PBE); Cu Kα (weighted mean of Kα1 and Kα2)).

a = 4.2095 Å, b = 6.4158 Å, c = 12.1788 Å
α = 90.00°, β = 90.00°, γ = 90.00°
Positions (direct):
Sr 0.0000 0.0000 0.0000
Sr 0.5000 0.5000 0.5000
Cd 0.0000 0.5000 0.2253
Cd 0.0000 0.5000 0.7747
Cd 0.5000 0.0000 0.2747
Cd 0.5000 0.0000 0.7253
Pd 0.0000 0.2116 0.3860
Pd 0.0000 0.2116 0.6140
Pd 0.0000 0.5000 0.0000
Pd 0.0000 0.7884 0.3860
Pd 0.0000 0.7884 0.6140
Pd 0.5000 0.0000 0.5000
Pd 0.5000 0.2884 0.1140
Pd 0.5000 0.2884 0.8860
Pd 0.5000 0.7116 0.1140
Pd 0.5000 0.7116 0.8860

Most intense lines, 2θ = 15–90°, low angle first:
Position (°2θ)	I_rel
15.6	25
29.3	27
30.6	29
36.0	94
39.1	26
40.9	68
42.9	100
47.7	22
60.8	49
74.2	19
74.3	25
80.3	21



Structure and calculated PXRD pattern of Sr4CdPd2 (DFT lattice parameters and positions (PBE); Cu Kα (weighted mean of Kα1 and Kα2)).

a = 10.7022 Å, b = 10.7022 Å, c = 10.7022 Å
α = 28.01°, β = 28.01°, γ = 28.01°
Positions (direct):
Sr 0.1138 0.1138 0.1138
Sr 0.2966 0.2966 0.2966
Sr 0.7034 0.7034 0.7034
Sr 0.8862 0.8862 0.8862
Cd 0.5000 0.5000 0.5000
Pd 0.4079 0.4079 0.4079
Pd 0.5921 0.5921 0.5921

Most intense lines, 2θ = 15–90°, low angle first:
Position (°2θ)	I_rel
20.0	40
22.9	11
24.5	30
28.4	18
34.6	100
35.3	71
37.9	20
50.3	25
62.1	18
62.5	26
73.1	11
83.8	12



Structure and calculated PXRD pattern of Sr2Cd5Pd5 (DFT lattice parameters and positions (PBE); Cu Kα (weighted mean of Kα1 and Kα2)).

a = 4.4646 Å, b = 5.8484 Å, c = 10.0835 Å
α = 90.00°, β = 90.00°, γ = 90.00°
Positions (direct):
Sr 0.0000 0.0000 0.0000
Sr 0.0000 0.5000 0.5000
Cd 0.0000 0.0000 0.3205
Cd 0.0000 0.0000 0.6795
Cd 0.0000 0.5000 0.1661
Cd 0.0000 0.5000 0.8339
Cd 0.5000 0.0000 0.5000
Pd 0.5000 0.2536 0.2511
Pd 0.5000 0.2536 0.7489
Pd 0.5000 0.5000 0.0000
Pd 0.5000 0.7464 0.2511
Pd 0.5000 0.7464 0.7489

Most intense lines, 2θ = 15–90°, low angle first:
Position (°2θ)	I_rel
17.6	33
30.7	12
35.5	17
36.8	100
40.4	30
41.0	37
41.1	14
54.9	16
58.5	17
63.9	14
71.1	14
78.4	15